(1)
For EuAl3Cu2, DFT lattice parameters and positions (GGA-PBE) gives the calculated PXRD pattern in this record (Cu Kα, 1.54184 Å).
Peak positions follow from Bragg's law for the DFT cell and can differ from measured ones.

Most intense lines, 15 to 90 degrees two-theta, by intensity:
39.79°, rel. 100; 33.01°, rel. 58; 21.59°, rel. 34; 28.83°, rel. 28; 56.09°, rel. 24; 63.53°, rel. 24; 44.00°, rel. 17; 38.30°, rel. 15

Atomic structure:
Cell: 5.4279 5.4279 4.1157 Å, 90.00 90.00 120.00°
Space group P6/mmm (No. 191)
Inequivalent atoms, fractional coordinates:
Eu (0.0000, 0.0000, 0.0000) [1 per cell]
Al (0.0000, 0.5000, 0.5000) [3 per cell]
Cu (0.3333, 0.6667, 0.0000) [2 per cell]



(2)
For Mg6CdSn, DFT lattice parameters and positions (GGA-PBE) gives the calculated PXRD pattern in this record (Cu Kα, 1.54184 Å).
Peak positions follow from Bragg's law for the DFT cell and can differ from measured ones.

Most intense lines, 15 to 90 degrees two-theta, by intensity:
36.42°, rel. 100; 16.27°, rel. 48; 37.47°, rel. 46; 17.46°, rel. 42; 23.96°, rel. 41; 31.71°, rel. 38; 35.34°, rel. 34; 48.21°, rel. 23

Atomic structure:
Cell: 5.0792 6.5986 10.8931 Å, 90.00 90.00 90.00°
Space group Amm2 (No. 38)
Inequivalent atoms, fractional coordinates:
Mg (0.0000, 0.0000, 0.0000) [2 per cell]
Mg (0.0000, 0.0000, 0.4972) [2 per cell]
Mg (0.0000, 0.2454, 0.2506) [4 per cell]
Mg (0.5000, 0.2498, 0.4167) [4 per cell]
Cd (0.5000, 0.0000, 0.1663) [2 per cell]
Sn (0.5000, 0.0000, 0.6660) [2 per cell]



(3)
For Ca3Al2Ge3, DFT lattice parameters and positions (GGA-PBE) gives the calculated PXRD pattern in this record (Cu Kα, 1.54184 Å).
Peak positions follow from Bragg's law for the DFT cell and can differ from measured ones.

Most intense lines, 15 to 90 degrees two-theta, by intensity:
32.62°, rel. 100; 39.68°, rel. 66; 31.72°, rel. 62; 41.33°, rel. 48; 27.23°, rel. 32; 31.28°, rel. 28; 26.29°, rel. 20; 25.66°, rel. 16

Atomic structure:
Cell: 11.4387 4.3694 14.8409 Å, 90.00 90.00 90.00°
Space group Pnma (No. 62)
Inequivalent atoms, fractional coordinates:
Ca (0.1051, 0.2500, 0.0624) [4 per cell]
Ca (0.1055, 0.7500, 0.4339) [4 per cell]
Ca (0.1225, 0.2500, 0.7968) [4 per cell]
Al (0.1430, 0.2500, 0.2910) [4 per cell]
Al (0.1835, 0.2500, 0.5881) [4 per cell]
Ge (0.0712, 0.7500, 0.6390) [4 per cell]
Ge (0.1402, 0.7500, 0.2003) [4 per cell]
Ge (0.1990, 0.7500, 0.9338) [4 per cell]



(4)
For Lu2CuPt, DFT lattice parameters and positions (GGA-PBE) gives the calculated PXRD pattern in this record (Cu Kα, 1.54184 Å).
Peak positions follow from Bragg's law for the DFT cell and can differ from measured ones.

Most intense lines, 15 to 90 degrees two-theta, by intensity:
37.40°, rel. 100; 67.46°, rel. 36; 53.92°, rel. 17; 79.76°, rel. 11; 22.64°, rel. 9; 44.16°, rel. 5; 26.21°, rel. 2; 59.22°, rel. 2

Atomic structure:
Cell: 6.8013 6.8013 6.8013 Å, 90.00 90.00 90.00°
Space group Fm-3m (No. 225)
Inequivalent atoms, fractional coordinates:
Lu (0.2500, 0.2500, 0.2500) [8 per cell]
Cu (0.0000, 0.0000, 0.0000) [4 per cell]
Pt (0.0000, 0.0000, 0.5000) [4 per cell]



(5)
For Mg7Si4, DFT lattice parameters and positions (GGA-PBE) gives the calculated PXRD pattern in this record (Cu Kα, 1.54184 Å).
Peak positions follow from Bragg's law for the DFT cell and can differ from measured ones.

Most intense lines, 15 to 90 degrees two-theta, by intensity:
37.86°, rel. 100; 34.70°, rel. 79; 33.63°, rel. 57; 36.53°, rel. 50; 37.19°, rel. 47; 36.17°, rel. 40; 35.83°, rel. 36; 40.66°, rel. 33

Atomic structure:
Cell: 5.3716 6.1319 13.6201 Å, 99.95 96.80 90.01°
Space group P1 (No. 1)
Inequivalent atoms, fractional coordinates:
Mg (0.0000, 0.0000, 0.0000) [1 per cell]
Mg (0.0013, 0.3000, 0.5579) [1 per cell]
Mg (0.0423, 0.8871, 0.2133) [1 per cell]
Mg (0.1445, 0.5181, 0.0255) [1 per cell]
Mg (0.4891, 0.1484, 0.9033) [1 per cell]
Mg (0.4908, 0.0216, 0.4931) [1 per cell]
Mg (0.5006, 0.5412, 0.5172) [1 per cell]
Mg (0.5159, 0.9379, 0.1159) [1 per cell]
Mg (0.5661, 0.6560, 0.9130) [1 per cell]
Mg (0.6144, 0.3491, 0.7074) [1 per cell]
Mg (0.6789, 0.4437, 0.1309) [1 per cell]
Mg (0.6828, 0.2474, 0.3250) [1 per cell]
Mg (0.7316, 0.8560, 0.7107) [1 per cell]
Mg (0.9918, 0.7821, 0.5055) [1 per cell]
Si (0.0334, 0.6147, 0.8373) [1 per cell]
Si (0.1896, 0.2605, 0.3719) [1 per cell]
Si (0.2024, 0.2959, 0.1854) [1 per cell]
Si (0.2224, 0.0562, 0.6984) [1 per cell]
Si (0.2462, 0.6304, 0.3364) [1 per cell]
Si (0.2465, 0.6640, 0.6956) [1 per cell]
Si (0.6835, 0.7453, 0.3204) [1 per cell]
Si (0.9880, 0.2201, 0.8375) [1 per cell]